Structure and computed powder X-ray diffraction pattern of Li3MnBPO7 (a GGA+U-relaxed structure; Cu Ka).
Lines closer than 0.1° are merged.

Main lines, in order of rising 2θ (2θ = 10–90°):
hkl 0 0 1, 10.70 deg, I = 80; hkl 0 1 1, 17.03 deg, I = 33; hkl 1 0 -1, 19.78 deg, I = 36; hkl 1 0 1, 21.77 deg, I = 53; hkl 1 0 -2, 26.49 deg, I = 34; hkl 0 2 0, 26.60 deg, I = 100; hkl 2 0 -1, 36.49 deg, I = 20; hkl 1 1 3, 41.35 deg, I = 20; hkl 0 4 0, 54.79 deg, I = 17; hkl 3 0 -2, 57.42 deg, I = 17

Cell and atoms:
```
Li3MnBPO7
1.0
5.018 0.000 0.000
0.000 6.702 0.000
-0.889 0.000 8.265
Li Mn B P O
6 2 2 2 14
Direct
0.224 0.250 0.099
0.255 0.508 0.755
0.255 0.992 0.755
0.745 0.008 0.245
0.745 0.492 0.245
0.776 0.750 0.901
0.219 0.750 0.325
0.781 0.250 0.675
0.305 0.750 0.044
0.695 0.250 0.956
0.249 0.250 0.415
0.751 0.750 0.585
0.046 0.750 0.090
0.123 0.250 0.577
0.161 0.069 0.306
0.161 0.431 0.306
0.376 0.750 0.892
0.440 0.750 0.541
0.497 0.750 0.182
0.503 0.250 0.818
0.560 0.250 0.459
0.624 0.250 0.108
0.839 0.569 0.694
0.839 0.931 0.694
0.877 0.750 0.423
0.954 0.250 0.910
```